Structure and calculated powder XRD pattern of Zr4AlNi2 (the PBE geometry in the Materials Project; a wavelength of 1.5418 Å).
Peak positions follow from Bragg's law for the DFT cell and can differ from measured ones.

Structure:
a = 9.234 Å, b = 9.280 Å, c = 9.280 Å
α = 119.47°, β = 90.39°, γ = 119.21°
Fractional positions:
Zr 0.000 0.000 0.000
Zr 0.000 0.000 0.454
Zr 0.003 0.458 0.456
Zr 0.149 0.250 0.850
Zr 0.149 0.748 0.851
Zr 0.149 0.749 0.350
Zr 0.296 0.042 0.246
Zr 0.298 0.498 0.248
Zr 0.299 0.498 0.700
Zr 0.545 0.544 0.998
Zr 0.546 0.000 0.455
Zr 0.546 0.000 0.999
Zr 0.650 0.250 0.851
Zr 0.751 0.498 0.701
Zr 0.752 0.498 0.246
Zr 0.752 0.953 0.702
Al 0.148 0.249 0.350
Al 0.649 0.750 0.350
Al 0.649 0.750 0.851
Al 0.650 0.249 0.350
Ni 0.052 0.853 0.652
Ni 0.245 0.645 0.049
Ni 0.347 0.145 0.650
Ni 0.348 0.145 0.947
Ni 0.350 0.853 0.653
Ni 0.948 0.644 0.048
Ni 0.950 0.352 0.752
Ni 0.952 0.353 0.052

Main lines, low angle first (10 to 90 degrees two-theta):
(hkl), Position (°2θ), I_rel
0 1 -1, 11.61, 49
1 -1 0, 11.70, 16
3 -1 1, 33.36, 18
0 2 1, 34.94, 15
0 3 -1, 35.08, 15
3 0 -2, 35.49, 35
3 -2 2, 35.64, 20
2 0 2, 38.45, 100
0 2 -4, 38.82, 65
4 -2 0, 39.02, 32